SrAlH5: calculated powder diffractogram (CuKα), based on a structure optimized by DFT (GGA-PBE).
No peak broadening, texture or thermal motion is included.

Unit cell a=4.5080 b=5.2000 c=12.6790 alpha=90.00 beta=90.00 gamma=90.00
Space group P2_12_12_1 (No. 19)
Unique sites:
Sr 0.2140 0.1460 0.3420 [4 per cell]
Al 0.1790 0.1330 0.0850 [4 per cell]
H 0.0180 0.8660 0.4960 [4 per cell]
H 0.0280 0.8910 0.0130 [4 per cell]
H 0.1240 0.6360 0.3290 [4 per cell]
H 0.1680 0.0870 0.6720 [4 per cell]
H 0.1950 0.6100 0.6570 [4 per cell]

Main lines, in order of rising 2θ (15 to 90 degrees two-theta):
hkl, two_theta, d [Å], I (rel.)
1 0 2, 24.23, 3.674, 30
1 1 0, 26.16, 3.406, 39
0 1 3, 27.14, 3.286, 100
0 0 4, 28.15, 3.170, 19
0 1 4, 33.10, 2.707, 13
1 0 4, 34.59, 2.593, 29
0 2 1, 35.24, 2.547, 27
2 0 0, 40.01, 2.254, 14
1 1 5, 44.54, 2.034, 13
1 2 3, 45.64, 1.988, 28